Structure and simulated powder XRD pattern of BaW4O7 (a structure optimized by DFT (PBE+U); a wavelength of 1.5418 Å).
Peak positions follow from Bragg's law for the DFT cell and can differ from measured ones.

Cell and atoms:
```
data_BaW4O7
_cell_length_a 6.8477
_cell_length_b 6.8477
_cell_length_c 11.0821
_cell_angle_alpha 90.00
_cell_angle_beta 90.00
_cell_angle_gamma 120.00
_space_group_name_H-M_alt 'P 1'
_space_group_IT_number 1
loop_
_space_group_symop_operation_xyz
'x,y,z'
loop_
_atom_site_label
_atom_site_fract_x
_atom_site_fract_y
_atom_site_fract_z
Ba1 0.3333 0.6667 0.0000
Ba2 0.6667 0.3333 0.5000
W1 0.0000 0.0000 0.3747
W2 0.0000 0.0000 0.8747
W3 0.1926 0.3851 0.6512
W4 0.1926 0.8074 0.6512
W5 0.3851 0.1926 0.1512
W6 0.6149 0.8074 0.6512
W7 0.8074 0.1926 0.1512
W8 0.8074 0.6149 0.1512
O1 0.0000 0.0000 0.1981
O2 0.0000 0.0000 0.6981
O3 0.0387 0.5193 0.1802
O4 0.1371 0.2743 0.4882
O5 0.1371 0.8629 0.4882
O6 0.2743 0.1371 0.9882
O7 0.4807 0.5193 0.1802
O8 0.4807 0.9613 0.1802
O9 0.5193 0.0387 0.6802
O10 0.5193 0.4807 0.6802
O11 0.7257 0.8629 0.4882
O12 0.8629 0.1371 0.9882
O13 0.8629 0.7257 0.9882
O14 0.9613 0.4807 0.6802
```

Principal peaks in the range 2θ = 10–90°, sorted by position:
d (Å)	I (rel.)	hkl
5.541	44	0 0 2
5.229	46	1 0 1
3.135	46	1 0 3
2.913	47	1 1 2
2.864	100	2 0 1
1.743	52	2 1 4